Entry 1:
# Ac2TmSi4Pt3
Simulated powder diffraction line list, Cu Kα, 1.54184 Å. Input: a crystal structure in Alexandria, relaxed with GGA-PBE.
Peak positions follow from Bragg's law for the DFT cell and can differ from measured ones.

Largest 10 diffraction maxima, sorted by position, 10 to 80 degrees two-theta:
2θ = 24.4°, I 24.6, (0 0 3)
2θ = 28.9°, I 23.5, (1 1 0)
2θ = 30.1°, I 74.2, (1 1 1)
2θ = 32.0°, I 100.0, (1 0 3)
2θ = 33.3°, I 94.9, (1 1 2)
2θ = 41.3°, I 75.8, (2 0 0)
2θ = 53.2°, I 49.0, (2 1 3)
2θ = 58.9°, I 27.5, (1 1 6)
2θ = 59.9°, I 30.6, (2 2 0)
2θ = 70.3°, I 22.5, (3 1 2)

Cell and atoms:
```
data_Ac2TmSi4Pt3
_chemical_formula_sum 'Ac2 Tm1 Si4 Pt3'
_cell_length_a 4.367
_cell_length_b 4.367
_cell_length_c 10.927
_cell_angle_alpha 90.00
_cell_angle_beta 90.00
_cell_angle_gamma 90.00
_symmetry_space_group_name_H-M 'P -4 m 2'
_symmetry_Int_Tables_number 115
loop_
_symmetry_equiv_pos_as_xyz
'x,y,z'
'y,-x,-z'
'-x,-y,z'
'-y,x,-z'
'-x,y,z'
'-y,-x,-z'
'x,-y,z'
'y,x,-z'
loop_
_atom_site_label
_atom_site_type_symbol
_atom_site_fract_x
_atom_site_fract_y
_atom_site_fract_z
Ac1 Ac 0.000 0.500 0.234
Tm1 Tm 0.000 0.000 0.500
Si1 Si 0.000 0.000 0.000
Si2 Si 0.000 0.500 0.659
Si3 Si 0.500 0.500 0.000
Pt1 Pt 0.000 0.500 0.892
Pt2 Pt 0.500 0.500 0.500
```

Entry 2:
# U2Zn15Au2
Simulated powder diffraction line list, Cu Kα, 1.54184 Å. Input: a crystal structure in Alexandria, relaxed with GGA-PBE.
Peak positions follow from Bragg's law for the DFT cell and can differ from measured ones.

Largest 10 diffraction maxima, sorted by position, 10 to 80 degrees two-theta:
2θ = 19.6°, I 61.9, (1 1 0)
2θ = 29.3°, I 44.7, (1 0 4)
2θ = 34.3°, I 86.7, (3 0 0)
2θ = 35.5°, I 68.1, (0 2 4)
2θ = 39.9°, I 100.0, (2 2 0)
2θ = 40.1°, I 75.0, (0 3 3)
2θ = 40.9°, I 86.6, (0 0 6)
2θ = 41.1°, I 30.1, (2 0 5)
2θ = 58.4°, I 37.2, (3 2 4)
2θ = 73.9°, I 34.5, (0 3 9)

Cell and atoms:
```
data_U2Zn15Au2
_chemical_formula_sum 'U6 Zn45 Au6'
_cell_length_a 9.0450
_cell_length_b 9.0450
_cell_length_c 13.2503
_cell_angle_alpha 90.00
_cell_angle_beta 90.00
_cell_angle_gamma 120.00
_symmetry_space_group_name_H-M 'R -3 m'
_symmetry_Int_Tables_number 166
_symmetry_space_group_name_Hall '-R 3 2"'
loop_
_atom_site_label
_atom_site_type_symbol
_atom_site_fract_x
_atom_site_fract_y
_atom_site_fract_z
U1 U 0.0000 0.0000 0.1561
Zn1 Zn 0.0000 0.2955 0.5000
Zn2 Zn 0.0000 0.5000 0.0000
Zn3 Zn 0.0107 0.5053 0.6512
Au1 Au 0.0000 0.0000 0.3878
```

Entry 3:
# Rb6Na2Tl
Simulated powder diffraction line list, Cu Kα, 1.54184 Å. Input: a crystal structure in Alexandria, relaxed with GGA-PBE.
Peak positions follow from Bragg's law for the DFT cell and can differ from measured ones.

Largest 10 diffraction maxima, sorted by position, 10 to 80 degrees two-theta:
2θ = 18.1°, I 30.0, (0 1 5)
2θ = 21.1°, I 29.2, (1 0 7)
2θ = 22.7°, I 19.5, (0 1 8)
2θ = 25.1°, I 100.0, (1 1 0)
2θ = 26.3°, I 48.0, (1 0 10)
2θ = 36.7°, I 31.0, (0 2 10)
2θ = 38.4°, I 14.4, (1 0 16)
2θ = 44.1°, I 21.5, (3 0 0)
2θ = 44.9°, I 22.7, (2 1 10)
2θ = 58.7°, I 14.9, (1 3 10)

Cell and atoms:
```
data_Rb6Na2Tl
_chemical_formula_sum 'Rb18 Na6 Tl3'
_cell_length_a 7.1066
_cell_length_b 7.1066
_cell_length_c 40.5162
_cell_angle_alpha 90.00
_cell_angle_beta 90.00
_cell_angle_gamma 120.00
_symmetry_space_group_name_H-M 'R -3 m'
_symmetry_Int_Tables_number 166
_symmetry_space_group_name_Hall '-R 3 2"'
loop_
_atom_site_label
_atom_site_type_symbol
_atom_site_fract_x
_atom_site_fract_y
_atom_site_fract_z
Rb1 Rb 0.0000 0.0000 0.0782
Rb2 Rb 0.0000 0.0000 0.1922
Rb3 Rb 0.0000 0.0000 0.3109
Na1 Na 0.0000 0.0000 0.4201
Tl1 Tl 0.0000 0.0000 0.5000
```

Entry 4:
# Sn5C8Se10N2O
Simulated powder diffraction line list, Cu Kα, 1.54184 Å. Input: a crystal structure in Alexandria, relaxed with GGA-PBE.
Peak positions follow from Bragg's law for the DFT cell and can differ from measured ones.

Largest 10 diffraction maxima, sorted by position, 10 to 80 degrees two-theta:
2θ = 11.2°, I 48.9, (1 0 1)
2θ = 22.4°, I 84.8, (2 0 2)
2θ = 22.6°, I 42.4, (0 0 4)
2θ = 27.6°, I 100.0, (2 1 3)
2θ = 29.8°, I 50.2, (3 0 1)
2θ = 29.9°, I 47.2, (2 0 4)
2θ = 30.8°, I 42.7, (3 1 0)
2θ = 35.9°, I 34.7, (2 2 4)
2θ = 38.5°, I 42.4, (3 1 4)
2θ = 45.8°, I 31.7, (3 2 5)

Cell and atoms:
```
data_Sn5C8Se10N2O
_chemical_formula_sum 'Sn10 C16 Se20 N4 O2'
_cell_length_a 9.176
_cell_length_b 9.176
_cell_length_c 15.749
_cell_angle_alpha 90.00
_cell_angle_beta 90.00
_cell_angle_gamma 90.00
_symmetry_space_group_name_H-M 'I -4'
_symmetry_Int_Tables_number 82
loop_
_symmetry_equiv_pos_as_xyz
'x,y,z'
'y,-x,-z'
'-x,-y,z'
'-y,x,-z'
'x+1/2,y+1/2,z+1/2'
'y+1/2,-x+1/2,-z+1/2'
'-x+1/2,-y+1/2,z+1/2'
'-y+1/2,x+1/2,-z+1/2'
loop_
_atom_site_label
_atom_site_type_symbol
_atom_site_fract_x
_atom_site_fract_y
_atom_site_fract_z
Sn1 Sn 0.000 0.000 0.000
Sn2 Sn 0.046 0.313 0.844
C1 C 0.024 0.429 0.166
C2 C 0.050 0.054 0.415
Se1 Se 0.000 0.500 0.536
Se2 Se 0.098 0.253 0.128
Se3 Se 0.152 0.201 0.365
N1 N 0.000 0.000 0.500
N2 N 0.000 0.500 0.250
O1 O 0.000 0.500 0.750
```

Entry 5:
# Ni8Bi8S
Simulated powder diffraction line list, Cu Kα, 1.54184 Å. Input: a crystal structure in Alexandria, relaxed with GGA-PBE.
Peak positions follow from Bragg's law for the DFT cell and can differ from measured ones.

Largest 10 diffraction maxima, sorted by position, 10 to 80 degrees two-theta:
2θ = 17.2°, I 53.3, (2 0 0)
2θ = 26.3°, I 21.4, (1 5 0)
2θ = 27.8°, I 97.3, (2 1 1)
2θ = 30.4°, I 100.0, (1 4 1)
2θ = 36.2°, I 33.7, (3 5 0)
2θ = 37.9°, I 21.1, (1 6 1)
2θ = 42.9°, I 37.6, (0 0 2)
2θ = 43.9°, I 32.9, (4 3 1)
2θ = 45.0°, I 19.3, (2 7 1)
2θ = 57.4°, I 22.1, (3 5 2)

Cell and atoms:
```
data_Ni8Bi8S
_chemical_formula_sum 'Ni16 Bi16 S2'
_cell_length_a 10.293
_cell_length_b 17.930
_cell_length_c 4.219
_cell_angle_alpha 90.00
_cell_angle_beta 90.00
_cell_angle_gamma 90.00
_symmetry_space_group_name_H-M 'P 21 21 2'
_symmetry_Int_Tables_number 18
loop_
_symmetry_equiv_pos_as_xyz
'x,y,z'
'-x,-y,z'
'x+1/2,-y+1/2,-z'
'-x+1/2,y+1/2,-z'
loop_
_atom_site_label
_atom_site_type_symbol
_atom_site_fract_x
_atom_site_fract_y
_atom_site_fract_z
Ni1 Ni 0.058 0.105 0.004
Ni2 Ni 0.089 0.904 0.502
Ni3 Ni 0.173 0.052 0.505
Ni4 Ni 0.186 0.968 0.004
Bi1 Bi 0.104 0.199 0.501
Bi2 Bi 0.153 0.438 0.499
Bi3 Bi 0.167 0.817 0.005
Bi4 Bi 0.179 0.597 0.994
S1 S 0.000 0.000 0.754
```

Entry 6:
# Ac2Te3Br
Simulated powder diffraction line list, Cu Kα, 1.54184 Å. Input: a crystal structure in Alexandria, relaxed with GGA-PBE.
Peak positions follow from Bragg's law for the DFT cell and can differ from measured ones.

Largest 10 diffraction maxima, sorted by position, 10 to 80 degrees two-theta:
2θ = 20.2°, I 82.6, (1 1 0)
2θ = 23.7°, I 50.9, (1 1 3)
2θ = 28.7°, I 35.1, (0 2 4)
2θ = 32.2°, I 70.6, (1 1 6)
2θ = 35.3°, I 24.1, (0 1 8)
2θ = 35.4°, I 100.0, (3 0 0)
2θ = 48.6°, I 24.7, (2 2 6)
2θ = 55.3°, I 30.7, (3 1 8)
2θ = 55.4°, I 15.7, (4 1 0)
2θ = 61.5°, I 19.8, (1 3 10)

Cell and atoms:
```
data_Ac2Te3Br
_chemical_formula_sum 'Ac12 Te18 Br6'
_cell_length_a 8.7755
_cell_length_b 8.7755
_cell_length_c 21.5962
_cell_angle_alpha 90.00
_cell_angle_beta 90.00
_cell_angle_gamma 120.00
_symmetry_space_group_name_H-M 'R -3 c'
_symmetry_Int_Tables_number 167
_symmetry_space_group_name_Hall '-R 3 2"c'
loop_
_atom_site_label
_atom_site_type_symbol
_atom_site_fract_x
_atom_site_fract_y
_atom_site_fract_z
Ac1 Ac 0.0000 0.0000 0.1412
Te1 Te 0.0000 0.2776 0.2500
Br1 Br 0.0000 0.0000 0.0000
```